Structure and calculated powder diffractogram of Ir2O (DFT lattice parameters and positions (PBE); λ = 1.5418 Å (Cu Kα)).
Lines closer than 0.1° are merged.

Structural model:
a b c (Å): 4.6886 4.6886 3.7226
angles (deg): 90.00 90.00 90.00
Element x y z (fractional)
Ir 0.1908 0.1908 0.0000
Ir 0.3092 0.6908 0.5000
Ir 0.6908 0.3092 0.5000
Ir 0.8092 0.8092 0.0000
O 0.0000 0.0000 0.5000
O 0.5000 0.5000 0.0000

Top 12 peaks for 2θ = 10–80°, in order of falling intensity:
two_theta, intensity
36.28, 100
43.14, 33
38.40, 27
64.69, 22
30.67, 21
67.26, 18
48.94, 16
63.86, 13
77.80, 12
49.92, 10
68.07, 7
55.43, 7


Structure and calculated powder diffractogram of Ir2O5 (DFT lattice parameters and positions (PBE); λ = 1.5418 Å (Cu Kα)).
Lines closer than 0.1° are merged.

Structural model:
a b c (Å): 6.5786 6.5786 3.7160
angles (deg): 90.03 90.03 34.99
Element x y z (fractional)
Ir 0.1512 0.1512 0.4986
Ir 0.8488 0.8488 0.5014
O 0.0000 0.0000 0.5000
O 0.1540 0.1540 0.9986
O 0.3119 0.3119 0.5020
O 0.6881 0.6881 0.4980
O 0.8460 0.8460 0.0014

Top 12 peaks for 2θ = 10–80°, in order of falling intensity:
two_theta, intensity
23.95, 100
23.58, 79
31.12, 79
39.65, 56
33.86, 45
14.12, 44
28.45, 39
37.52, 27
59.22, 27
52.41, 24
62.09, 24
45.89, 24